Simulated powder diffractogram
Compound: MgTiZnBi2O6
Radiation: copper Kα
Structure: a DFT-relaxed cell (PBE, the Materials Project)
No peak broadening, texture or thermal motion is included.

Peak list (10 most intense, 10° ≤ 2θ ≤ 80°, by angle)
2θ 16.78, I = 86; 2θ 19.12, I = 84; 2θ 27.77, I = 48; 2θ 31.84, I = 100; 2θ 32.10, I = 44; 2θ 33.18, I = 40; 2θ 33.94, I = 51; 2θ 42.34, I = 23; 2θ 43.80, I = 27; 2θ 51.75, I = 30

Structure:
a = 6.638 Å, b = 5.646 Å, c = 5.646 Å
α = 69.36°, β = 90.00°, γ = 90.00°
Fractional coordinates of all 11 atoms:
Mg 0.000 0.000 0.000
Ti 0.000 0.700 0.700
Zn 0.500 0.787 0.787
Bi 0.281 0.358 0.358
Bi 0.719 0.358 0.358
O 0.000 0.358 0.811
O 0.000 0.811 0.358
O 0.204 0.838 0.838
O 0.500 0.039 0.444
O 0.500 0.444 0.039
O 0.796 0.838 0.838